Record 1
For VTc, a cell relaxed with GGA-PBE gives the calculated powder diffraction line list in this record (Cu Kα (weighted mean of Kα1 and Kα2)).

Structure:
a b c (Å): 3.0260 3.0260 3.0260
angles (deg): 90.00 90.00 90.00
Space group Pm-3m (No. 221)
Unique sites:
V (0.0000, 0.0000, 0.0000) [1 per cell]
Tc (0.5000, 0.5000, 0.5000) [1 per cell]

Principal peaks in the range 2θ = 10–80°, low angle first:
2θ = 29.52°, rel. 15; 2θ = 42.24°, rel. 100; 2θ = 52.37°, rel. 4; 2θ = 61.27°, rel. 16; 2θ = 69.46°, rel. 6; 2θ = 77.23°, rel. 31

---

Record 2
For TcW, a cell relaxed with GGA-PBE gives the calculated powder diffraction line list in this record (Cu Kα (weighted mean of Kα1 and Kα2)).

Structure:
a b c (Å): 3.1121 4.5189 4.4151
angles (deg): 90.00 90.00 90.00
Space group Cmmm (No. 65)
Unique sites:
Tc (0.0000, 0.0000, 0.0000) [2 per cell]
W (0.0000, 0.5000, 0.5000) [2 per cell]

Principal peaks in the range 2θ = 10–80°, low angle first:
2θ = 20.11°, rel. 11; 2θ = 35.01°, rel. 6; 2θ = 39.90°, rel. 26; 2θ = 40.70°, rel. 100; 2θ = 40.88°, rel. 25; 2θ = 54.89°, rel. 4; 2θ = 58.45°, rel. 17; 2θ = 59.40°, rel. 8; 2θ = 73.00°, rel. 18; 2θ = 73.96°, rel. 9; 2θ = 74.32°, rel. 17; 2θ = 74.62°, rel. 8